Entry 1:
The following is a calculated powder diffraction line list of Tb3Y4Er5. It was derived from a DFT-relaxed cell (GGA-PBE, Alexandria), using copper Kα.
No peak broadening, texture or thermal motion is included.

Cell and atoms:
a = 6.1305 Å, b = 7.0892 Å, c = 8.6683 Å
α = 89.98°, β = 89.93°, γ = 89.90°
Fractional positions:
Tb (0.0000, 0.0000, 0.0000)
Tb (0.1674, 0.2487, 0.3320)
Tb (0.8326, 0.7513, 0.6680)
Y (0.1665, 0.7507, 0.3329)
Y (0.3325, 0.5005, 0.6679)
Y (0.6675, 0.4995, 0.3321)
Y (0.8335, 0.2493, 0.6671)
Er (0.0000, 0.5000, 0.0000)
Er (0.3343, 0.9998, 0.6675)
Er (0.4992, 0.2493, 0.0005)
Er (0.5008, 0.7507, 0.9995)
Er (0.6657, 0.0002, 0.3325)

Largest 6 diffraction maxima, by intensity, 2θ = 10–90°:
30.9°, rel. 100; 35.9°, rel. 51; 61.4°, rel. 28; 51.6°, rel. 24; 61.4°, rel. 14; 51.7°, rel. 12


Entry 2:
The following is a calculated powder diffraction line list of Tb3Y8Er. It was derived from a DFT-relaxed cell (GGA-PBE, Alexandria), using copper Kα.
No peak broadening, texture or thermal motion is included.

Cell and atoms:
a = 6.1422 Å, b = 6.1631 Å, c = 10.7179 Å
α = 90.25°, β = 90.44°, γ = 109.08°
Fractional positions:
Tb (0.0000, 0.0000, 0.0000)
Tb (0.0000, 0.5000, 0.5000)
Tb (0.5000, 0.0000, 0.5000)
Y (0.0000, 0.9998, 0.3337)
Y (0.0000, 0.0002, 0.6663)
Y (0.0000, 0.5001, 0.1658)
Y (0.0000, 0.4999, 0.8342)
Y (0.5000, 0.0000, 0.1657)
Y (0.5000, 0.0000, 0.8343)
Y (0.5000, 0.4999, 0.3334)
Y (0.5000, 0.5001, 0.6666)
Er (0.5000, 0.5000, 0.0000)

Largest 6 diffraction maxima, by intensity, 2θ = 10–90°:
30.7°, rel. 100; 30.8°, rel. 99; 35.8°, rel. 66; 35.4°, rel. 36; 51.2°, rel. 35; 60.6°, rel. 28


Entry 3:
The following is a calculated powder diffraction line list of Tb6YEr. It was derived from a DFT-relaxed cell (GGA-PBE, Alexandria), using copper Kα.
No peak broadening, texture or thermal motion is included.

Cell and atoms:
a = 5.0295 Å, b = 5.0295 Å, c = 10.0583 Å
α = 90.00°, β = 90.00°, γ = 90.00°
Fractional positions:
Tb (0.0000, 0.0000, 0.0000)
Tb (0.0000, 0.0000, 0.5000)
Tb (0.0000, 0.5000, 0.2488)
Tb (0.0000, 0.5000, 0.7512)
Tb (0.5000, 0.0000, 0.2488)
Tb (0.5000, 0.0000, 0.7512)
Y (0.5000, 0.5000, 0.5000)
Er (0.5000, 0.5000, 0.0000)

Largest 6 diffraction maxima, by intensity, 2θ = 10–90°:
30.8°, rel. 100; 35.7°, rel. 51; 61.1°, rel. 43; 51.4°, rel. 36; 83.8°, rel. 18; 86.6°, rel. 17


Entry 4:
The following is a calculated powder diffraction line list of TbEr2Zn3. It was derived from a DFT-relaxed cell (GGA-PBE, Alexandria), using copper Kα.
No peak broadening, texture or thermal motion is included.

Cell and atoms:
a = 3.5562 Å, b = 3.5562 Å, c = 10.6506 Å
α = 90.00°, β = 90.00°, γ = 90.00°
Fractional positions:
Tb (0.0000, 0.0000, 0.0000)
Er (0.0000, 0.0000, 0.3346)
Er (0.0000, 0.0000, 0.6654)
Zn (0.5000, 0.5000, 0.1713)
Zn (0.5000, 0.5000, 0.5000)
Zn (0.5000, 0.5000, 0.8287)

Largest 6 diffraction maxima, by intensity, 2θ = 10–90°:
35.7°, rel. 100; 64.2°, rel. 36; 25.1°, rel. 19; 51.4°, rel. 18; 75.7°, rel. 11; 86.6°, rel. 10


Entry 5:
The following is a calculated powder diffraction line list of Tb2Er3Zn2. It was derived from a DFT-relaxed cell (GGA-PBE, Alexandria), using copper Kα.
No peak broadening, texture or thermal motion is included.

Cell and atoms:
a = 3.4995 Å, b = 3.4867 Å, c = 15.3580 Å
α = 90.00°, β = 96.54°, γ = 90.00°
Fractional positions:
Tb (0.2013, 0.0000, 0.4011)
Tb (0.7987, 0.0000, 0.5989)
Er (0.3820, 0.5000, 0.7655)
Er (0.5000, 0.5000, 0.0000)
Er (0.6180, 0.5000, 0.2345)
Zn (0.0584, 0.0000, 0.1153)
Zn (0.9416, 0.0000, 0.8847)

Largest 6 diffraction maxima, by intensity, 2θ = 10–90°:
34.9°, rel. 100; 36.5°, rel. 98; 32.8°, rel. 75; 26.2°, rel. 34; 29.4°, rel. 34; 64.4°, rel. 33


Entry 6:
The following is a calculated powder diffraction line list of Tb7ErZn4. It was derived from a DFT-relaxed cell (GGA-PBE, Alexandria), using copper Kα.
No peak broadening, texture or thermal motion is included.

Cell and atoms:
a = 7.5142 Å, b = 7.5142 Å, c = 9.7585 Å
α = 120.42°, β = 120.42°, γ = 43.16°
Fractional positions:
Tb (0.0000, 0.0000, 0.0000)
Tb (0.2226, 0.2226, 0.6721)
Tb (0.2912, 0.2912, 0.1196)
Tb (0.4299, 0.4299, 0.5972)
Tb (0.5701, 0.5701, 0.4028)
Tb (0.7088, 0.7088, 0.8804)
Tb (0.7774, 0.7774, 0.3279)
Er (0.5000, 0.5000, 0.0000)
Zn (0.0431, 0.0431, 0.7365)
Zn (0.1781, 0.1781, 0.3382)
Zn (0.8219, 0.8219, 0.6617)
Zn (0.9569, 0.9569, 0.2635)

Largest 6 diffraction maxima, by intensity, 2θ = 10–90°:
32.4°, rel. 100; 31.3°, rel. 45; 37.4°, rel. 39; 30.3°, rel. 33; 32.8°, rel. 30; 44.9°, rel. 23


Entry 7:
The following is a calculated powder diffraction line list of Tb2Er2Zn3. It was derived from a DFT-relaxed cell (GGA-PBE, Alexandria), using copper Kα.
No peak broadening, texture or thermal motion is included.

Cell and atoms:
a = 8.5843 Å, b = 8.5843 Å, c = 8.5843 Å
α = 33.74°, β = 33.74°, γ = 33.74°
Fractional positions:
Tb (0.1266, 0.1266, 0.1266)
Tb (0.8734, 0.8734, 0.8734)
Er (0.3775, 0.3775, 0.3775)
Er (0.6225, 0.6225, 0.6225)
Zn (0.0000, 0.0000, 0.0000)
Zn (0.2530, 0.2530, 0.2530)
Zn (0.7470, 0.7470, 0.7470)

Largest 6 diffraction maxima, by intensity, 2θ = 10–90°:
36.1°, rel. 100; 36.2°, rel. 98; 25.3°, rel. 62; 64.9°, rel. 53; 52.0°, rel. 34; 65.2°, rel. 17


Entry 8:
The following is a calculated powder diffraction line list of Tb8Er5Zr. It was derived from a DFT-relaxed cell (GGA-PBE, Alexandria), using copper Kα.
No peak broadening, texture or thermal motion is included.

Cell and atoms:
a = 8.3587 Å, b = 8.3587 Å, c = 9.0154 Å
α = 122.50°, β = 122.50°, γ = 77.03°
Fractional positions:
Tb (0.0001, 0.0001, 0.1901)
Tb (0.9999, 0.9999, 0.8099)
Tb (0.1109, 0.4963, 0.1064)
Tb (0.2238, 0.1812, 0.7012)
Tb (0.3926, 0.2057, 0.3005)
Tb (0.5037, 0.8891, 0.8936)
Tb (0.7943, 0.6074, 0.6995)
Tb (0.8188, 0.7762, 0.2988)
Er (0.1089, 0.4944, 0.5032)
Er (0.3086, 0.6914, 0.0000)
Er (0.5056, 0.8911, 0.4968)
Er (0.6132, 0.3865, 0.8098)
Er (0.6135, 0.3868, 0.1902)
Zr (0.8073, 0.1927, 0.5000)

Largest 6 diffraction maxima, by intensity, 2θ = 10–90°:
32.3°, rel. 100; 33.5°, rel. 37; 35.8°, rel. 36; 27.4°, rel. 32; 31.0°, rel. 32; 29.9°, rel. 26


Entry 9:
The following is a calculated powder diffraction line list of Tb5Er4Zr. It was derived from a DFT-relaxed cell (GGA-PBE, Alexandria), using copper Kα.
No peak broadening, texture or thermal motion is included.

Cell and atoms:
a = 7.8874 Å, b = 7.8874 Å, c = 7.8874 Å
α = 98.02°, β = 98.02°, γ = 136.14°
Fractional positions:
Tb (0.0000, 0.0000, 0.0000)
Tb (0.5170, 0.5170, 0.6311)
Tb (0.5170, 0.8859, 0.0000)
Tb (0.8859, 0.5170, 0.0000)
Tb (0.8859, 0.8859, 0.3689)
Er (0.2328, 0.5544, 0.3215)
Er (0.2328, 0.9113, 0.6785)
Er (0.5544, 0.2328, 0.3215)
Er (0.9113, 0.2328, 0.6785)
Zr (0.4578, 0.4578, 0.0000)

Largest 6 diffraction maxima, by intensity, 2θ = 10–90°:
30.0°, rel. 100; 36.9°, rel. 38; 62.2°, rel. 19; 30.3°, rel. 16; 48.5°, rel. 15; 53.7°, rel. 14


Entry 10:
The following is a calculated powder diffraction line list of Tb3Er8Zr. It was derived from a DFT-relaxed cell (GGA-PBE, Alexandria), using copper Kα.
No peak broadening, texture or thermal motion is included.

Cell and atoms:
a = 9.2548 Å, b = 9.2548 Å, c = 9.2548 Å
α = 131.68°, β = 131.68°, γ = 70.74°
Fractional positions:
Tb (0.0000, 0.0000, 0.0000)
Tb (0.2500, 0.7500, 0.5000)
Tb (0.7500, 0.2500, 0.5000)
Er (0.1404, 0.1404, 0.5198)
Er (0.1404, 0.6206, 0.0000)
Er (0.3794, 0.3794, 0.5198)
Er (0.3794, 0.8596, 0.0000)
Er (0.6206, 0.1404, 0.0000)
Er (0.6206, 0.6206, 0.4802)
Er (0.8596, 0.3794, 0.0000)
Er (0.8596, 0.8596, 0.4802)
Zr (0.5000, 0.5000, 0.0000)

Largest 6 diffraction maxima, by intensity, 2θ = 10–90°:
33.5°, rel. 100; 59.8°, rel. 24; 20.3°, rel. 22; 23.5°, rel. 19; 48.0°, rel. 12; 60.0°, rel. 12


Entry 11:
The following is a calculated powder diffraction line list of Tb2Er6Zr. It was derived from a DFT-relaxed cell (GGA-PBE, Alexandria), using copper Kα.
No peak broadening, texture or thermal motion is included.

Cell and atoms:
a = 9.9111 Å, b = 9.9111 Å, c = 5.8861 Å
α = 96.30°, β = 96.30°, γ = 70.04°
Fractional positions:
Tb (0.0717, 0.2737, 0.0637)
Tb (0.2737, 0.0717, 0.5637)
Tb (0.7263, 0.9283, 0.4363)
Tb (0.9283, 0.7263, 0.9363)
Er (0.0885, 0.8121, 0.4881)
Er (0.1539, 0.4403, 0.6442)
Er (0.1879, 0.9115, 0.0119)
Er (0.2741, 0.5138, 0.1847)
Er (0.4403, 0.1539, 0.1442)
Er (0.4862, 0.7259, 0.3153)
Er (0.5138, 0.2741, 0.6847)
Er (0.5597, 0.8461, 0.8558)
Er (0.7259, 0.4862, 0.8153)
Er (0.8121, 0.0885, 0.9881)
Er (0.8461, 0.5597, 0.3558)
Er (0.9115, 0.1879, 0.5119)
Zr (0.3886, 0.6114, 0.7500)
Zr (0.6114, 0.3886, 0.2500)

Largest 6 diffraction maxima, by intensity, 2θ = 10–90°:
31.4°, rel. 100; 32.7°, rel. 89; 30.9°, rel. 51; 38.8°, rel. 28; 38.3°, rel. 27; 57.0°, rel. 22


Entry 12:
The following is a calculated powder diffraction line list of TbEr4Zr. It was derived from a DFT-relaxed cell (GGA-PBE, Alexandria), using copper Kα.
No peak broadening, texture or thermal motion is included.

Cell and atoms:
a = 3.4510 Å, b = 6.9667 Å, c = 7.6868 Å
α = 103.06°, β = 102.92°, γ = 90.17°
Fractional positions:
Tb (0.0000, 0.0000, 0.0000)
Er (0.3377, 0.1795, 0.6762)
Er (0.3399, 0.6598, 0.6793)
Er (0.6601, 0.3402, 0.3207)
Er (0.6623, 0.8205, 0.3238)
Zr (0.0000, 0.5000, 0.0000)

Largest 6 diffraction maxima, by intensity, 2θ = 10–90°:
31.6°, rel. 100; 31.8°, rel. 100; 53.1°, rel. 57; 36.6°, rel. 34; 36.7°, rel. 34; 37.0°, rel. 32


Entry 13:
The following is a calculated powder diffraction line list of Tb2Er12Zr. It was derived from a DFT-relaxed cell (GGA-PBE, Alexandria), using copper Kα.
No peak broadening, texture or thermal motion is included.

Cell and atoms:
a = 6.5354 Å, b = 6.5354 Å, c = 23.7606 Å
α = 92.29°, β = 92.29°, γ = 115.11°
Fractional positions:
Tb (0.0668, 0.0668, 0.2744)
Tb (0.4314, 0.4314, 0.7232)
Tb (0.5686, 0.5686, 0.2768)
Tb (0.9332, 0.9332, 0.7256)
Er (0.0314, 0.0314, 0.1254)
Er (0.0478, 0.5477, 0.1898)
Er (0.0813, 0.5804, 0.3278)
Er (0.1408, 0.6379, 0.5560)
Er (0.1437, 0.1437, 0.5781)
Er (0.2379, 0.7306, 0.9371)
Er (0.2694, 0.7621, 0.0629)
Er (0.3537, 0.3537, 0.4230)
Er (0.3621, 0.8592, 0.4440)
Er (0.4196, 0.9187, 0.6722)
Er (0.4523, 0.9522, 0.8102)
Er (0.4672, 0.4672, 0.8706)
Er (0.5328, 0.5328, 0.1294)
Er (0.5477, 0.0478, 0.1898)
Er (0.5804, 0.0813, 0.3278)
Er (0.6379, 0.1408, 0.5560)
Er (0.6463, 0.6463, 0.5770)
Er (0.7306, 0.2379, 0.9371)
Er (0.7621, 0.2694, 0.0629)
Er (0.8563, 0.8563, 0.4219)
Er (0.8592, 0.3621, 0.4440)
Er (0.9187, 0.4196, 0.6722)
Er (0.9522, 0.4523, 0.8102)
Er (0.9686, 0.9686, 0.8746)
Zr (0.2744, 0.2744, 0.0000)
Zr (0.7256, 0.7256, 0.0000)

Largest 6 diffraction maxima, by intensity, 2θ = 10–90°:
31.7°, rel. 100; 32.5°, rel. 82; 34.4°, rel. 54; 31.0°, rel. 51; 34.8°, rel. 50; 33.0°, rel. 37